(1)
Computed X-ray diffraction stick pattern of MgMn6O7F5 for Cu Kα (λ = 1.5418 Å), from DFT lattice parameters and positions (GGA+U).
Intensities are scaled so that the largest is 100.

Peak list (10 most intense, 10° ≤ 2θ ≤ 90°, in order of rising 2θ)
2θ = 25.54°, I 92; 2θ = 26.79°, I 100; 2θ = 33.57°, I 83; 2θ = 33.90°, I 42; 2θ = 34.55°, I 27; 2θ = 38.98°, I 23; 2θ = 44.61°, I 20; 2θ = 51.77°, I 40; 2θ = 55.20°, I 21; 2θ = 58.32°, I 28

Structural model:
```
MgMn6O7F5
1.0
5.6291 0.0000 0.0000
1.8622 5.4917 0.0000
2.4009 1.8347 7.1363
Mg Mn O F
1 6 7 5
Direct
0.0000 0.0000 0.0000
0.0770 0.4740 0.5670
0.3659 0.8263 0.6637
0.3667 0.8135 0.1986
0.5884 0.1985 0.8227
0.7072 0.1734 0.3576
0.9700 0.4842 0.0055
0.0543 0.1176 0.1942
0.2891 0.7182 0.4672
0.3080 0.4871 0.8264
0.3658 0.1830 0.5198
0.3885 0.9424 0.8959
0.6400 0.5041 0.1799
0.8730 0.3502 0.8397
0.0766 0.6464 0.1564
0.6250 0.0375 0.1355
0.7679 0.8006 0.5153
0.8133 0.2930 0.5428
0.9107 0.8824 0.8240
```



(2)
Computed X-ray diffraction stick pattern of Li4FeP2O9 for Cu Kα (λ = 1.5418 Å), from DFT lattice parameters and positions (GGA+U).
Intensities are scaled so that the largest is 100.

Peak list (10 most intense, 10° ≤ 2θ ≤ 90°, in order of rising 2θ)
2θ = 12.27°, I 80; 2θ = 12.45°, I 85; 2θ = 17.40°, I 24; 2θ = 19.04°, I 51; 2θ = 19.15°, I 26; 2θ = 26.05°, I 38; 2θ = 27.58°, I 44; 2θ = 28.13°, I 43; 2θ = 29.12°, I 100; 2θ = 36.61°, I 30

Structural model:
```
Li4FeP2O9
1.0
7.2143 -3.3941 0.0000
7.2143 3.3941 0.0000
-0.0938 0.0000 7.1091
Li Fe P O
8 2 4 18
Direct
0.0000 0.5000 0.5000
0.1039 0.1039 0.2356
0.2459 0.7541 0.0000
0.3708 0.3708 0.2960
0.5000 0.0000 0.5000
0.6292 0.6292 0.7040
0.7541 0.2459 0.0000
0.8961 0.8961 0.7644
0.0000 0.5000 0.0000
0.5000 0.0000 0.0000
0.1236 0.1236 0.7062
0.3982 0.3982 0.7542
0.6018 0.6018 0.2458
0.8764 0.8764 0.2938
0.0117 0.6286 0.2367
0.0309 0.0309 0.8092
0.1271 0.1271 0.4923
0.1811 0.5608 0.8705
0.2366 0.2366 0.1028
0.3471 0.3471 0.5637
0.3714 0.9883 0.7633
0.4392 0.8189 0.1295
0.4960 0.4960 0.2383
0.5040 0.5040 0.7617
0.5608 0.1811 0.8705
0.6286 0.0117 0.2367
0.6529 0.6529 0.4363
0.7634 0.7634 0.8972
0.8189 0.4392 0.1295
0.8729 0.8729 0.5077
0.9691 0.9691 0.1908
0.9883 0.3714 0.7633
```



(3)
Computed X-ray diffraction stick pattern of SmEuZrCrO6 for Cu Kα (λ = 1.5418 Å), from DFT lattice parameters and positions (GGA+U).
Intensities are scaled so that the largest is 100.

Peak list (10 most intense, 10° ≤ 2θ ≤ 90°, in order of rising 2θ)
2θ = 22.05°, I 9; 2θ = 31.38°, I 100; 2θ = 38.68°, I 14; 2θ = 44.97°, I 31; 2θ = 50.63°, I 5; 2θ = 55.86°, I 39; 2θ = 65.48°, I 19; 2θ = 74.41°, I 17; 2θ = 78.72°, I 5; 2θ = 82.97°, I 6

Structural model:
```
SmEuZrCrO6
1.0
0.0000 4.0317 4.0317
4.0317 0.0000 4.0317
4.0317 4.0317 0.0000
Sm Eu Zr Cr O
1 1 1 1 6
Direct
0.0000 0.0000 0.0000
0.5000 0.5000 0.5000
0.2500 0.2500 0.2500
0.7500 0.7500 0.7500
0.5060 0.5060 0.9940
0.5060 0.9940 0.5060
0.5060 0.9940 0.9940
0.9940 0.5060 0.5060
0.9940 0.5060 0.9940
0.9940 0.9940 0.5060
```



(4)
Computed X-ray diffraction stick pattern of Ti5Fe7O18 for Cu Kα (λ = 1.5418 Å), from DFT lattice parameters and positions (GGA+U).
Intensities are scaled so that the largest is 100.

Peak list (10 most intense, 10° ≤ 2θ ≤ 90°, in order of rising 2θ)
2θ = 23.94°, I 39; 2θ = 32.53°, I 89; 2θ = 32.69°, I 43; 2θ = 35.62°, I 100; 2θ = 49.11°, I 32; 2θ = 53.05°, I 31; 2θ = 53.19°, I 31; 2θ = 53.35°, I 31; 2θ = 61.97°, I 21; 2θ = 63.97°, I 46

Structural model:
```
Ti5Fe7O18
1.0
7.4827 0.0000 0.0000
-0.7232 7.4784 0.0000
-2.7162 -0.9731 11.1288
Ti Fe O
10 14 36
Direct
0.0400 0.3876 0.3984
0.1139 0.0884 0.9240
0.2821 0.6069 0.2680
0.3832 0.3938 0.0681
0.4343 0.0928 0.6033
0.5657 0.9072 0.3967
0.6168 0.6062 0.9319
0.7179 0.3931 0.7320
0.8861 0.9116 0.0760
0.9600 0.6124 0.6016
0.0550 0.8988 0.3976
0.1137 0.6042 0.9267
0.2008 0.9119 0.7265
0.2194 0.4090 0.7403
0.2965 0.1135 0.2696
0.3924 0.8999 0.0643
0.4488 0.6119 0.5973
0.5512 0.3881 0.4027
0.6076 0.1001 0.9357
0.7035 0.8865 0.7304
0.7806 0.5910 0.2597
0.7992 0.0881 0.2735
0.8863 0.3958 0.0733
0.9450 0.1012 0.6024
0.0230 0.0063 0.2301
0.0343 0.8452 0.5637
0.0742 0.6479 0.3287
0.0871 0.8539 0.0026
0.1360 0.6699 0.7660
0.1565 0.5030 0.1092
0.1755 0.4972 0.5574
0.1956 0.3355 0.9038
0.2382 0.1556 0.6696
0.2563 0.3575 0.3388
0.3066 0.1597 0.0999
0.3244 0.0078 0.4401
0.3422 0.9963 0.8889
0.3666 0.8399 0.2342
0.4099 0.6465 0.9975
0.4114 0.8504 0.6676
0.4708 0.6679 0.4311
0.4898 0.5053 0.7734
0.5102 0.4947 0.2266
0.5292 0.3321 0.5689
0.5886 0.1496 0.3324
0.5901 0.3535 0.0025
0.6334 0.1601 0.7658
0.6578 0.0037 0.1111
0.6756 0.9922 0.5599
0.6934 0.8403 0.9001
0.7437 0.6425 0.6612
0.7618 0.8444 0.3304
0.8044 0.6645 0.0962
0.8245 0.5028 0.4426
0.8435 0.4970 0.8908
0.8640 0.3301 0.2340
0.9129 0.1461 0.9974
0.9258 0.3521 0.6713
0.9657 0.1548 0.4363
0.9770 0.9937 0.7699
```



(5)
Computed X-ray diffraction stick pattern of MgFe8O8F8 for Cu Kα (λ = 1.5418 Å), from DFT lattice parameters and positions (GGA+U).
Intensities are scaled so that the largest is 100.

Peak list (10 most intense, 10° ≤ 2θ ≤ 90°, in order of rising 2θ)
2θ = 18.23°, I 25; 2θ = 25.17°, I 100; 2θ = 25.50°, I 94; 2θ = 33.89°, I 71; 2θ = 34.32°, I 52; 2θ = 38.63°, I 50; 2θ = 40.24°, I 25; 2θ = 50.81°, I 31; 2θ = 51.18°, I 26; 2θ = 59.70°, I 29

Structural model:
```
MgFe8O8F8
1.0
9.7342 0.0000 0.0000
0.0000 3.0975 0.0000
-0.1312 0.0000 10.1679
Mg Fe O F
1 8 8 8
Direct
0.0000 0.0000 0.0000
0.0278 0.5000 0.2806
0.0508 0.5000 0.7276
0.2897 0.0000 0.9528
0.2946 0.0000 0.5294
0.5338 0.5000 0.7363
0.5495 0.5000 0.2816
0.6446 0.0000 0.9951
0.7527 0.0000 0.5142
0.1359 0.0000 0.6525
0.1415 0.5000 0.9136
0.3871 0.5000 0.5939
0.4178 0.0000 0.8260
0.6033 0.0000 0.1821
0.6313 0.0000 0.6529
0.6550 0.5000 0.8901
0.6819 0.5000 0.4168
0.1180 0.0000 0.1656
0.1881 0.5000 0.4177
0.3583 0.5000 0.0671
0.4195 0.0000 0.3572
0.8851 0.5000 0.5959
0.9116 0.5000 0.0858
0.9247 0.0000 0.3685
0.9329 0.0000 0.8189
```